This entry pairs a crystal structure of La5Sm3Y2 with its computed X-ray diffraction stick pattern. Radiation: Cu Kα. Structure: a PBE-relaxed structure.

The 10 most intense peaks (2θ = 10–90°), by angle:
2theta	intensity
20.32	19
28.73	81
30.78	100
31.58	18
32.62	42
34.86	22
48.17	20
57.07	17
59.40	21
60.94	24

Crystal structure
```
La5Sm3Y2
1.0
5.489 -7.443 0.000
5.489 7.443 0.000
-5.480 0.000 8.740
La Sm Y
10 6 4
direct
0.022 0.978 0.750
0.131 0.376 0.755
0.231 0.769 0.750
0.274 0.726 0.250
0.376 0.131 0.255
0.624 0.869 0.745
0.726 0.274 0.750
0.769 0.231 0.250
0.869 0.624 0.245
0.978 0.022 0.250
0.030 0.279 0.059
0.279 0.030 0.559
0.482 0.518 0.250
0.518 0.482 0.750
0.721 0.970 0.441
0.970 0.721 0.941
0.223 0.467 0.440
0.467 0.223 0.940
0.533 0.777 0.060
0.777 0.533 0.560
```

This entry pairs a crystal structure of La3SmY with its computed X-ray diffraction stick pattern. Radiation: Cu Kα. Structure: a PBE-relaxed structure.

The 10 most intense peaks (2θ = 10–90°), by angle:
2theta	intensity
30.13	81
30.35	100
31.21	47
31.72	37
41.44	16
45.10	28
52.77	16
55.01	18
55.79	15
60.51	27

Crystal structure
```
La3SmY
1.0
7.857 -6.865 0.000
7.857 6.865 0.000
-1.732 0.000 6.532
La Sm Y
12 4 4
direct
0.089 0.717 0.563
0.112 0.488 0.848
0.238 0.365 0.350
0.283 0.911 0.937
0.365 0.238 0.850
0.488 0.112 0.348
0.512 0.888 0.652
0.635 0.762 0.150
0.717 0.089 0.063
0.762 0.635 0.650
0.888 0.512 0.152
0.911 0.283 0.437
0.309 0.691 0.250
0.435 0.565 0.750
0.565 0.435 0.250
0.691 0.309 0.750
0.031 0.167 0.941
0.167 0.031 0.441
0.833 0.969 0.559
0.969 0.833 0.059
```

This entry pairs a crystal structure of La6Sm5Y2 with its computed X-ray diffraction stick pattern. Radiation: Cu Kα. Structure: a PBE-relaxed structure.

The 10 most intense peaks (2θ = 10–90°), by angle:
2theta	intensity
30.35	44
30.54	100
31.30	95
33.30	30
34.03	16
35.68	31
49.63	19
50.36	14
59.29	13
59.39	17

Crystal structure
```
La6Sm5Y2
1.0
11.896 0.000 0.000
0.000 21.154 0.000
0.000 0.000 3.674
La Sm Y
12 10 4
direct
0.062 0.080 0.000
0.082 0.367 0.000
0.174 0.636 0.500
0.326 0.136 0.500
0.418 0.867 0.000
0.438 0.580 0.000
0.562 0.420 0.000
0.582 0.133 0.000
0.674 0.864 0.500
0.826 0.364 0.500
0.918 0.633 0.000
0.938 0.920 0.000
0.000 0.500 0.500
0.094 0.227 0.500
0.198 0.943 0.500
0.302 0.443 0.500
0.406 0.727 0.500
0.500 0.000 0.500
0.594 0.273 0.500
0.698 0.557 0.500
0.802 0.057 0.500
0.906 0.773 0.500
0.165 0.790 0.000
0.335 0.290 0.000
0.665 0.710 0.000
0.835 0.210 0.000
```

This entry pairs a crystal structure of LaSm2Y12 with its computed X-ray diffraction stick pattern. Radiation: Cu Kα. Structure: a PBE-relaxed structure.

The 10 most intense peaks (2θ = 10–90°), by angle:
2theta	intensity
29.03	41
29.46	82
30.60	92
31.30	100
31.65	40
32.63	70
33.07	81
36.87	36
47.53	31
58.02	33

Crystal structure
```
LaSm2Y12
1.0
3.532 -5.716 0.000
3.532 5.716 0.000
0.000 0.000 25.031
La Sm Y
2 4 24
direct
0.250 0.750 0.996
0.750 0.250 0.004
0.250 0.750 0.267
0.250 0.750 0.728
0.750 0.250 0.272
0.750 0.250 0.733
0.002 0.502 0.868
0.007 0.993 0.080
0.011 0.511 0.416
0.014 0.986 0.560
0.250 0.250 0.201
0.250 0.250 0.328
0.250 0.250 0.672
0.250 0.250 0.799
0.486 0.514 0.560
0.489 0.989 0.416
0.493 0.507 0.080
0.498 0.998 0.868
0.502 0.002 0.132
0.507 0.493 0.920
0.511 0.011 0.584
0.514 0.486 0.440
0.750 0.750 0.201
0.750 0.750 0.328
0.750 0.750 0.672
0.750 0.750 0.799
0.986 0.014 0.440
0.989 0.489 0.584
0.993 0.007 0.920
0.998 0.498 0.132
```

This entry pairs a crystal structure of LaSm7Y2 with its computed X-ray diffraction stick pattern. Radiation: Cu Kα. Structure: a PBE-relaxed structure.

The 10 most intense peaks (2θ = 10–90°), by angle:
2theta	intensity
30.13	100
30.21	33
34.96	67
50.24	32
50.34	16
59.70	33
59.81	24
81.74	10
84.28	9
84.41	9

Crystal structure
```
LaSm7Y2
1.0
6.295 0.000 0.000
2.085 6.950 0.000
2.090 1.243 7.731
La Sm Y
1 7 2
direct
0.000 0.000 0.000
0.000 0.500 0.000
0.199 0.301 0.599
0.401 0.100 0.201
0.401 0.600 0.201
0.599 0.400 0.799
0.599 0.900 0.799
0.801 0.699 0.401
0.201 0.800 0.599
0.799 0.200 0.401
```

This entry pairs a crystal structure of La8Sm6Y with its computed X-ray diffraction stick pattern. Radiation: Cu Kα. Structure: a PBE-relaxed structure.

The 10 most intense peaks (2θ = 10–90°), by angle:
2theta	intensity
25.24	24
28.54	66
31.51	100
32.47	98
47.91	17
49.89	32
51.81	15
57.32	14
60.78	22
64.15	21

Crystal structure
```
La8Sm6Y
1.0
9.561 0.000 0.000
-4.780 8.280 0.000
0.000 0.000 6.749
La Sm Y
8 6 1
direct
0.036 0.291 0.336
0.255 0.964 0.336
0.291 0.255 0.664
0.333 0.667 0.384
0.667 0.333 0.616
0.709 0.745 0.336
0.745 0.036 0.664
0.964 0.709 0.664
0.091 0.431 0.849
0.340 0.909 0.849
0.431 0.340 0.151
0.569 0.660 0.849
0.660 0.091 0.151
0.909 0.569 0.151
0.000 0.000 0.000
```

This entry pairs a crystal structure of La4SmY2 with its computed X-ray diffraction stick pattern. Radiation: Cu Kα. Structure: a PBE-relaxed structure.

The 10 most intense peaks (2θ = 10–90°), by angle:
2theta	intensity
25.27	19
27.54	29
29.63	97
29.74	100
30.74	78
33.10	61
39.07	24
50.52	23
52.17	20
54.01	36

Crystal structure
```
La4SmY2
1.0
-3.508 5.817 6.115
3.508 -5.817 6.115
3.508 5.817 -6.115
La Sm Y
8 2 4
direct
0.151 0.151 0.001
0.256 0.222 0.466
0.256 0.789 0.034
0.350 0.849 0.501
0.650 0.151 0.499
0.744 0.211 0.966
0.744 0.778 0.534
0.849 0.849 0.999
0.000 0.000 0.500
0.000 0.500 0.000
0.000 0.500 0.500
0.465 0.715 0.750
0.500 0.500 0.000
0.535 0.285 0.250
```

This entry pairs a crystal structure of LaSm7Y12 with its computed X-ray diffraction stick pattern. Radiation: Cu Kα. Structure: a PBE-relaxed structure.

The 10 most intense peaks (2θ = 10–90°), by angle:
2theta	intensity
22.16	62
27.22	44
31.54	100
38.88	30
45.20	73
53.57	19
56.16	25
61.12	16
74.84	32
83.47	24

Crystal structure
```
LaSm7Y12
1.0
-5.674 5.674 5.674
5.674 -5.674 5.674
5.674 5.674 -5.674
La Sm Y
1 7 12
direct
0.000 0.000 0.000
0.000 0.000 0.500
0.000 0.500 0.000
0.000 0.500 0.500
0.500 0.000 0.000
0.500 0.000 0.500
0.500 0.500 0.000
0.500 0.500 0.500
0.000 0.253 0.747
0.000 0.747 0.253
0.253 0.000 0.747
0.253 0.253 0.506
0.253 0.506 0.253
0.253 0.747 0.000
0.494 0.747 0.747
0.506 0.253 0.253
0.747 0.000 0.253
0.747 0.253 0.000
0.747 0.494 0.747
0.747 0.747 0.494
```